Computed powder XRD pattern of NaLaNiF6 for Cu Ka, from a DFT-relaxed cell (GGA+U, Alexandria).
Peak positions follow from Bragg's law for the DFT cell and can differ from measured ones.

Structure:
```
NaLaNiF6
1.0
5.866 0.000 0.000
-2.933 5.080 0.000
0.000 0.000 8.977
Na La Ni F
2 2 2 12
Direct
0.000 0.000 0.000 Na
0.000 0.000 0.500 Na
0.333 0.667 0.250 La
0.667 0.333 0.750 La
0.333 0.667 0.750 Ni
0.667 0.333 0.250 Ni
0.040 0.371 0.630 F
0.040 0.670 0.870 F
0.330 0.371 0.870 F
0.330 0.960 0.630 F
0.371 0.040 0.130 F
0.371 0.330 0.370 F
0.629 0.670 0.630 F
0.629 0.960 0.870 F
0.670 0.040 0.370 F
0.670 0.629 0.130 F
0.960 0.330 0.130 F
0.960 0.629 0.370 F
```

The 8 most intense peaks (10 to 80 degrees two-theta), in order of rising 2θ:
| 2theta | I/Imax | index |
| --- | --- | --- |
| 17.5 | 58 | 1 0 0 |
| 19.8 | 70 | 0 0 2 |
| 26.5 | 95 | 1 0 2 |
| 30.5 | 60 | 1 1 0 |
| 36.6 | 100 | 1 1 2 |
| 51.3 | 72 | 1 1 4 |
| 51.8 | 29 | 2 1 2 |
| 54.2 | 43 | 3 0 0 |